For KPuMnTe3, a cell relaxed with GGA-PBE gives the simulated X-ray diffraction stick pattern in this record (Cu Kα (weighted mean of Kα1 and Kα2)).
Intensities are scaled so that the largest is 100.

Structure:
abc: 9.6464 4.5211 10.3941
angles: 90.00 107.29 90.00
Space group P2_1/m (No. 11)
Symmetry-distinct sites (fractional):
K 0.2063 0.2500 0.2367 (multiplicity 2)
Pu 0.3276 0.7500 0.8554 (multiplicity 2)
Mn 0.0849 0.2500 0.6009 (multiplicity 2)
Te 0.1037 0.2500 0.8621 (multiplicity 2)
Te 0.2116 0.7500 0.5315 (multiplicity 2)
Te 0.4605 0.7500 0.1662 (multiplicity 2)

Main lines, low angle first (2θ from 10° to 90°):
Position (°2θ)	I/Imax	h k l
10.99	100	1 0 -1
21.90	18	1 1 0
26.95	36	0 0 3
27.23	70	2 1 -1
27.65	36	2 1 0
32.60	23	1 1 -3
36.22	19	2 1 2
39.88	21	0 2 0
41.01	35	2 1 -4
43.85	18	3 1 2



For Ac3ZnNi6Ge2, a cell relaxed with GGA-PBE gives the simulated X-ray diffraction stick pattern in this record (Cu Kα (weighted mean of Kα1 and Kα2)).
Intensities are scaled so that the largest is 100.

Structure:
abc: 5.7255 5.7255 8.4345
angles: 90.00 90.00 120.00
Space group P-3m1 (No. 164)
Symmetry-distinct sites (fractional):
Ac 0.0000 0.0000 0.0000 (multiplicity 1)
Ac 0.3333 0.6667 0.6771 (multiplicity 2)
Zn 0.0000 0.0000 0.5000 (multiplicity 1)
Ni 0.1833 0.3667 0.3134 (multiplicity 6)
Ge 0.3333 0.6667 0.0888 (multiplicity 2)

Main lines, low angle first (2θ from 10° to 90°):
Position (°2θ)	I/Imax	h k l
20.78	40	1 0 1
27.77	100	0 1 2
31.24	89	1 1 0
31.83	42	0 0 3
37.82	71	0 2 1
42.29	93	2 0 2
45.20	24	1 1 3
53.51	31	1 2 2
57.36	27	0 2 4
65.17	27	2 2 0